# 1
Simulated powder diffraction line list
Compound: Hf4Bi3P
Radiation: Cu Ka
Structure: a cell relaxed with GGA-PBE
Intensities are scaled so that the largest is 100.

Most intense lines, 2θ = 10–90°, low angle first:
2θ 25.97, intensity 12, hkl 1 0 0
2θ 28.98, intensity 27, hkl 0 1 2
2θ 32.39, intensity 100, hkl 0 1 3
2θ 36.68, intensity 30, hkl 1 0 4
2θ 41.63, intensity 17, hkl 1 0 5
2θ 45.81, intensity 48, hkl 1 1 0
2θ 47.10, intensity 14, hkl 1 0 6
2θ 57.21, intensity 20, hkl 2 0 3
2θ 66.43, intensity 19, hkl 1 1 7
2θ 76.20, intensity 18, hkl 1 2 3

Atomic structure:
Cell: 3.9616 3.9616 14.0010 Å, 90.00 90.00 120.00°
Space group P-3m1 (No. 164)
Asymmetric unit:
Hf 0.3333 0.6667 0.1315
Hf 0.3333 0.6667 0.4125
Bi 0.0000 0.0000 0.0000
Bi 0.3333 0.6667 0.7321
P 0.0000 0.0000 0.5000

***

# 2
Simulated powder diffraction line list
Compound: Sr3Zn2O5
Radiation: Cu Ka
Structure: a cell relaxed with GGA-PBE
Intensities are scaled so that the largest is 100.

Most intense lines, 2θ = 10–90°, low angle first:
2θ 30.79, intensity 72, hkl 0 1 5
2θ 33.68, intensity 84, hkl 1 0 5
2θ 34.40, intensity 100, hkl 1 1 0
2θ 42.94, intensity 28, hkl 0 0 10
2θ 45.24, intensity 30, hkl 0 2 0
2θ 53.38, intensity 18, hkl 2 0 0
2θ 56.14, intensity 36, hkl 1 1 10
2θ 57.57, intensity 35, hkl 1 2 5
2θ 62.90, intensity 20, hkl 2 1 5
2θ 64.14, intensity 15, hkl 0 2 10

Atomic structure:
Cell: 3.4326 4.0088 21.0627 Å, 90.00 90.00 90.00°
Space group Immm (No. 71)
Asymmetric unit:
Sr 0.0000 0.0000 0.0000
Sr 0.0000 0.0000 0.1881
Zn 0.0000 0.0000 0.4031
O 0.0000 0.0000 0.3062
O 0.0000 0.0000 0.5000
O 0.0000 0.5000 0.4039

***

# 3
Simulated powder diffraction line list
Compound: BaSnHgS4
Radiation: Cu Ka
Structure: a cell relaxed with GGA-PBE
Intensities are scaled so that the largest is 100.

Most intense lines, 2θ = 10–90°, low angle first:
2θ 16.07, intensity 55, hkl 0 2 0
2θ 22.34, intensity 100, hkl 1 2 1
2θ 22.84, intensity 59, hkl 2 2 0
2θ 26.48, intensity 27, hkl 0 0 2
2θ 27.75, intensity 80, hkl 3 0 1
2θ 32.42, intensity 40, hkl 0 4 0
2θ 35.25, intensity 86, hkl 2 2 2
2θ 42.34, intensity 27, hkl 0 4 2
2θ 43.19, intensity 48, hkl 3 4 1
2θ 46.51, intensity 35, hkl 5 2 1

Atomic structure:
Cell: 10.9783 11.0459 6.7314 Å, 90.00 90.00 90.00°
Space group Pnn2 (No. 34)
Asymmetric unit:
Ba 0.0000 0.0000 0.0000
Ba 0.0000 0.5000 0.0044
Sn 0.2119 0.2484 0.4902
Hg 0.1714 0.7510 0.4518
S 0.0523 0.2485 0.2507
S 0.0970 0.7487 0.7978
S 0.2340 0.4182 0.7184
S 0.2352 0.0796 0.7195

***

# 4
Simulated powder diffraction line list
Compound: LiNbO4
Radiation: Cu Ka
Structure: a cell relaxed with GGA-PBE
Intensities are scaled so that the largest is 100.

Most intense lines, 2θ = 10–90°, low angle first:
2θ 19.17, intensity 100, hkl 1 1 0
2θ 27.19, intensity 29, hkl 2 0 0
2θ 27.30, intensity 28, hkl 0 2 0
2θ 28.71, intensity 17, hkl 0 0 1
2θ 34.76, intensity 35, hkl 1 1 1
2θ 39.95, intensity 37, hkl 2 0 1
2θ 43.81, intensity 21, hkl 1 3 0
2θ 49.07, intensity 17, hkl 2 2 1
2θ 53.03, intensity 10, hkl 3 1 -1
2θ 53.20, intensity 29, hkl 3 1 1

Atomic structure:
Cell: 6.5603 6.5323 3.1090 Å, 90.00 90.13 90.00°
Space group Cm (No. 8)
Asymmetric unit:
Li 0.0000 0.0000 0.0000
Nb 0.9998 0.5000 0.5705
O 0.9998 0.2047 0.4867
O 0.2006 0.5000 0.0347
O 0.2995 0.0000 0.0332